Starting from a crystal structure in Alexandria, relaxed with GGA-PBE, the PXRD pattern of SrAcNi2H8 was simulated for Cu Kα (weighted mean of Kα1 and Kα2).

Peak list (10 most intense, 5 to 70 degrees two-theta, most intense first)
2θ 27.76, I 100, (1 0 4)
2θ 37.40, I 47, (1 1 0)
2θ 41.82, I 31, (0 1 8)
2θ 23.10, I 25, (0 1 2)
2θ 13.14, I 25, (0 0 3)
2θ 47.21, I 24, (0 2 4)
2θ 61.72, I 21, (2 1 4)
2θ 21.79, I 14, (1 0 1)
2θ 67.94, I 13, (1 1 12)
2θ 57.34, I 12, (2 0 8)

Structure:
```
data_SrAcNi2H8
_chemical_formula_sum 'Sr3 Ac3 Ni6 H24'
_cell_length_a 4.8089
_cell_length_b 4.8089
_cell_length_c 20.2144
_cell_angle_alpha 90.00
_cell_angle_beta 90.00
_cell_angle_gamma 120.00
_space_group_name_H-M_alt 'R -3 m'
_space_group_IT_number 166
_space_group_name_Hall '-R 3 2"'
loop_
_atom_site_label
_atom_site_type_symbol
_atom_site_fract_x
_atom_site_fract_y
_atom_site_fract_z
_atom_site_occupancy
Sr1 Sr 0.0000 0.0000 0.0000 1
Ac1 Ac 0.0000 0.0000 0.5000 1
Ni1 Ni 0.0000 0.0000 0.2380 1
H1 H 0.0000 0.0000 0.1581 1
H2 H 0.0058 0.5029 0.0606 1
```